Entry 1:
For Gd2ErNi9, the GGA-PBE geometry in OQMD gives the simulated PXRD pattern in this record (CuKα).
Lines closer than 0.1° are merged.

Crystal structure
Cell lengths 4.9326, 4.9326, 24.4249 Å; angles 90.00, 90.00, 120.00 degrees
Space group R-3m (No. 166, hexagonal axes)
Symmetry-distinct sites (fractional):
Gd: 0.0000 0.0000 0.1387
Er: 0.0000 0.0000 0.0000
Ni: 0.0000 0.0000 0.3330
Ni: 0.0000 0.0000 0.5000
Ni: 0.9997 0.4999 0.0814

Peak list (6 most intense, 2θ from 10° to 90°, by angle)
2θ = 33.15°, rel. 52, hkl 1 0 7
2θ = 36.16°, rel. 45, hkl 0 1 8
2θ = 36.43°, rel. 56, hkl 1 1 0
2θ = 42.49°, rel. 41, hkl 0 2 1
2θ = 42.87°, rel. 100, hkl 1 1 6
2θ = 77.39°, rel. 22, hkl 2 2 0

---

Entry 2:
For Gd2ErNiSn3Pd2, the GGA-PBE geometry in OQMD gives the simulated PXRD pattern in this record (CuKα).
Lines closer than 0.1° are merged.

Crystal structure
Cell lengths 3.9065, 13.0452, 7.5547 Å; angles 90.00, 90.00, 90.00 degrees
Space group Amm2 (No. 38)
Symmetry-distinct sites (fractional):
Gd: 0.0000 0.2014 0.0000
Er: 0.0000 0.0000 0.3980
Ni: 0.0000 0.0000 0.7973
Sn: 0.5000 0.0000 0.0484
Sn: 0.5000 0.1243 0.6731
Pd: 0.5000 0.1644 0.2998

Peak list (6 most intense, 2θ from 10° to 90°, by angle)
2θ = 33.01°, rel. 100, hkl 1 3 1
2θ = 35.84°, rel. 65, hkl 1 4 0
2θ = 36.39°, rel. 49, hkl 0 4 2
2θ = 41.47°, rel. 29, hkl 0 3 3
2θ = 46.49°, rel. 21, hkl 2 0 0
2θ = 60.43°, rel. 23, hkl 2 4 2

---

Entry 3:
For Gd2ErSc3OsS2, the GGA-PBE geometry in OQMD gives the simulated PXRD pattern in this record (CuKα).
Lines closer than 0.1° are merged.

Crystal structure
Cell lengths 3.8830, 13.0972, 7.4962 Å; angles 90.00, 90.00, 90.00 degrees
Space group Amm2 (No. 38)
Symmetry-distinct sites (fractional):
Gd: 0.0000 0.2062 0.0000
Er: 0.0000 0.0000 0.3863
Sc: 0.5000 0.0000 0.0340
Sc: 0.5000 0.1228 0.6722
Os: 0.0000 0.0000 0.7824
S: 0.5000 0.1659 0.2943

Peak list (6 most intense, 2θ from 10° to 90°, by angle)
2θ = 22.90°, rel. 53, hkl 1 0 0
2θ = 27.42°, rel. 52, hkl 0 2 2
2θ = 33.11°, rel. 70, hkl 1 3 1
2θ = 35.88°, rel. 54, hkl 1 4 0
2θ = 36.02°, rel. 100, hkl 1 2 2
2θ = 46.79°, rel. 29, hkl 2 0 0

---

Entry 4:
For Gd2ErTm3OsSe2, the GGA-PBE geometry in OQMD gives the simulated PXRD pattern in this record (CuKα).
Lines closer than 0.1° are merged.

Crystal structure
Cell lengths 3.9765, 13.9746, 7.8868 Å; angles 90.00, 90.00, 90.00 degrees
Space group Amm2 (No. 38)
Symmetry-distinct sites (fractional):
Gd: 0.0000 0.2025 0.0000
Er: 0.0000 0.0000 0.5986
Tm: 0.5000 0.0000 0.9609
Tm: 0.5000 0.1232 0.3235
Os: 0.0000 0.0000 0.2147
Se: 0.5000 0.1673 0.7020

Peak list (6 most intense, 2θ from 10° to 90°, by angle)
2θ = 31.69°, rel. 100, hkl 1 3 1
2θ = 31.96°, rel. 42, hkl 1 0 2
2θ = 34.16°, rel. 46, hkl 1 4 0
2θ = 34.51°, rel. 83, hkl 1 2 2
2θ = 34.72°, rel. 32, hkl 0 1 3
2θ = 45.63°, rel. 36, hkl 2 0 0

---

Entry 5:
For GdErSn2Pt4, the GGA-PBE geometry in OQMD gives the simulated PXRD pattern in this record (CuKα).
Lines closer than 0.1° are merged.

Crystal structure
Cell lengths 4.5618, 4.5618, 9.0924 Å; angles 90.00, 90.00, 120.00 degrees
Space group P-6m2 (No. 187)
Symmetry-distinct sites (fractional):
Gd: 0.0000 0.0000 0.0000
Er: 0.3333 0.6667 0.5000
Sn: 0.6667 0.3333 0.2515
Pt: 0.0000 0.0000 0.3424
Pt: 0.3333 0.6667 0.1625

Peak list (6 most intense, 2θ from 10° to 90°, by angle)
2θ = 22.51°, rel. 19, hkl 1 0 0
2θ = 37.40°, rel. 100, hkl 1 0 3
2θ = 39.51°, rel. 87, hkl 1 1 0
2θ = 55.53°, rel. 32, hkl 2 0 3
2θ = 70.28°, rel. 32, hkl 2 1 3
2θ = 71.66°, rel. 16, hkl 3 0 0

---

Entry 6:
For Rb2GdErS4, the GGA-PBE geometry in OQMD gives the simulated PXRD pattern in this record (CuKα).
Lines closer than 0.1° are merged.

Crystal structure
Cell lengths 4.0709, 4.0709, 15.3657 Å; angles 90.00, 90.00, 120.00 degrees
Space group P-3m1 (No. 164)
Symmetry-distinct sites (fractional):
Rb: 0.3333 0.6667 0.2504
Gd: 0.0000 0.0000 0.0000
Er: 0.0000 0.0000 0.5000
S: 0.3333 0.6667 0.5947
S: 0.3333 0.6667 0.9020

Peak list (6 most intense, 2θ from 10° to 90°, by angle)
2θ = 11.52°, rel. 34, hkl 0 0 2
2θ = 27.84°, rel. 100, hkl 1 0 2
2θ = 30.79°, rel. 37, hkl 0 1 3
2θ = 34.53°, rel. 31, hkl 0 1 4
2θ = 43.69°, rel. 43, hkl 0 1 6
2θ = 44.51°, rel. 37, hkl 1 1 0